# Be2CdAu7
Theoretical X-ray diffraction stick pattern, Cu Kα. Input: a cell relaxed with PBE.
Intensities are scaled so that the largest is 100.

Cell: 10.4701 10.4701 10.4701 Å, 157.32 157.32 32.30°
Element x y z (fractional)
Be 0.1784 0.1784 0.0000
Be 0.8216 0.8216 0.0000
Cd 0.5000 0.5000 0.0000
Au 0.0000 0.0000 0.0000
Au 0.1094 0.6094 0.5000
Au 0.2500 0.7500 0.5000
Au 0.3906 0.8906 0.5000
Au 0.6094 0.1094 0.5000
Au 0.7500 0.2500 0.5000
Au 0.8906 0.3906 0.5000

Largest 10 diffraction maxima, sorted by position, 10 to 90 degrees two-theta:
2theta, d (Å), I_rel
30.70, 2.912, 60
32.00, 2.797, 44
35.67, 2.517, 89
41.06, 2.198, 100
43.98, 2.059, 70
57.89, 1.593, 44
63.94, 1.456, 23
73.50, 1.288, 30
75.43, 1.260, 31
78.85, 1.214, 31



# Ag3SBr
Theoretical X-ray diffraction stick pattern, Cu Kα. Input: a cell relaxed with PBE.
Intensities are scaled so that the largest is 100.

Cell: 7.0030 6.8827 6.7687 Å, 61.72 59.94 58.34°
Element x y z (fractional)
Ag 0.0000 0.0000 0.0000
Ag 0.2948 0.2948 0.2052
Ag 0.3580 0.3580 0.6420
Ag 0.4056 0.8075 0.5944
Ag 0.7948 0.7948 0.7052
Ag 0.8075 0.4056 0.1925
S 0.0973 0.6213 0.9027
S 0.6213 0.0973 0.3787
Br 0.3684 0.8538 0.1462
Br 0.8538 0.3684 0.6316

Largest 10 diffraction maxima, sorted by position, 10 to 90 degrees two-theta:
2theta, d (Å), I_rel
25.45, 3.500, 27
25.95, 3.433, 25
29.74, 3.004, 25
31.29, 2.859, 26
31.89, 2.807, 100
35.70, 2.515, 18
36.89, 2.436, 48
38.32, 2.349, 30
44.92, 2.018, 32
54.24, 1.691, 21



# TbSiB
Theoretical X-ray diffraction stick pattern, Cu Kα. Input: a cell relaxed with PBE.
Intensities are scaled so that the largest is 100.

Cell: 3.5822 4.1123 6.2732 Å, 90.00 90.00 90.00°
Element x y z (fractional)
Tb 0.2500 0.0000 0.2342
Tb 0.7500 0.0000 0.7658
Si 0.2500 0.5000 0.6116
Si 0.7500 0.5000 0.3884
B 0.2500 0.5000 0.9413
B 0.7500 0.5000 0.0587

Largest 10 diffraction maxima, sorted by position, 10 to 90 degrees two-theta:
2theta, d (Å), I_rel
21.61, 4.112, 40
28.46, 3.137, 30
28.70, 3.111, 53
36.01, 2.494, 44
36.21, 2.481, 100
44.04, 2.056, 17
50.54, 1.806, 20
53.42, 1.715, 19
64.00, 1.455, 16
69.25, 1.357, 17



# Ba2LaCl7
Theoretical X-ray diffraction stick pattern, Cu Kα. Input: a cell relaxed with PBE.
Intensities are scaled so that the largest is 100.

Cell: 7.0754 15.8972 10.7994 Å, 90.00 91.01 90.00°
Element x y z (fractional)
Ba 0.2301 0.0000 0.1971
Ba 0.2297 0.0566 0.6972
Ba 0.2313 0.3398 0.0756
Ba 0.2305 0.7168 0.5757
Ba 0.7695 0.2168 0.4243
Ba 0.7687 0.8398 0.9244
Ba 0.7699 0.5000 0.8029
Ba 0.7703 0.5566 0.3028
La 0.2804 0.4054 0.5352
La 0.2799 0.6512 0.0353
La 0.7201 0.1512 0.9647
La 0.7196 0.9054 0.4648
Cl 0.0045 0.5380 0.5573
Cl 0.0045 0.5184 0.0571
Cl 0.0073 0.6744 0.8313
Cl 0.0081 0.3822 0.3312
Cl 0.1894 0.2344 0.5433
Cl 0.1887 0.8223 0.0434
Cl 0.2089 0.6333 0.2902
Cl 0.2105 0.4236 0.7902
Cl 0.3584 0.8489 0.3725
Cl 0.3592 0.2078 0.8723
Cl 0.4943 0.0017 0.9523
Cl 0.4944 0.0551 0.4527
Cl 0.4960 0.8809 0.6802
Cl 0.4967 0.1756 0.1801
Cl 0.5033 0.6756 0.8199
Cl 0.5040 0.3809 0.3199
Cl 0.5057 0.5017 0.0477
Cl 0.5056 0.5551 0.5473
Cl 0.6408 0.7078 0.1277
Cl 0.6416 0.3489 0.6275
Cl 0.7895 0.9236 0.2098
Cl 0.7911 0.1333 0.7098
Cl 0.8113 0.3223 0.9566
Cl 0.8106 0.7344 0.4567
Cl 0.9919 0.8822 0.6688
Cl 0.9927 0.1744 0.1687
Cl 0.9955 0.0184 0.9429
Cl 0.9955 0.0380 0.4427

Largest 10 diffraction maxima, sorted by position, 10 to 90 degrees two-theta:
2theta, d (Å), I_rel
20.93, 4.245, 100
21.27, 4.177, 39
25.18, 3.537, 27
32.52, 2.754, 23
33.66, 2.663, 47
34.90, 2.571, 66
37.10, 2.423, 24
37.22, 2.416, 23
37.68, 2.387, 31
41.93, 2.155, 24



# ThP2O7
Theoretical X-ray diffraction stick pattern, Cu Kα. Input: a cell relaxed with PBE.
Intensities are scaled so that the largest is 100.

Cell: 9.0252 9.0252 9.0252 Å, 90.00 90.00 90.00°
Element x y z (fractional)
Th 0.0000 0.0000 0.0000
Th 0.0000 0.5000 0.5000
Th 0.5000 0.0000 0.5000
Th 0.5000 0.5000 0.0000
P 0.1015 0.6015 0.8985
P 0.1015 0.8985 0.3985
P 0.3985 0.1015 0.8985
P 0.3985 0.3985 0.3985
P 0.6015 0.6015 0.6015
P 0.6015 0.8985 0.1015
P 0.8985 0.1015 0.6015
P 0.8985 0.3985 0.1015
O 0.0000 0.0000 0.5000
O 0.0000 0.5000 0.0000
O 0.0562 0.7383 0.4294
O 0.0562 0.7617 0.9294
O 0.0706 0.5562 0.7383
O 0.0706 0.9438 0.2383
O 0.2383 0.0706 0.9438
O 0.2383 0.4294 0.4438
O 0.2617 0.5706 0.9438
O 0.2617 0.9294 0.4438
O 0.4294 0.0562 0.7383
O 0.4294 0.4438 0.2383
O 0.4438 0.2383 0.4294
O 0.4438 0.2617 0.9294
O 0.5000 0.0000 0.0000
O 0.5000 0.5000 0.5000
O 0.5562 0.7383 0.0706
O 0.5562 0.7617 0.5706
O 0.5706 0.5562 0.7617
O 0.5706 0.9438 0.2617
O 0.7383 0.0706 0.5562
O 0.7383 0.4294 0.0562
O 0.7617 0.5706 0.5562
O 0.7617 0.9294 0.0562
O 0.9294 0.0562 0.7617
O 0.9294 0.4438 0.2617
O 0.9438 0.2383 0.0706
O 0.9438 0.2617 0.5706

Largest 10 diffraction maxima, sorted by position, 10 to 90 degrees two-theta:
2theta, d (Å), I_rel
17.02, 5.211, 74
19.67, 4.513, 100
27.96, 3.191, 52
32.91, 2.721, 68
43.72, 2.071, 27
44.92, 2.018, 38
49.48, 1.842, 30
52.70, 1.737, 32
60.71, 1.526, 21
61.66, 1.504, 17



# BaU2RuS7
Theoretical X-ray diffraction stick pattern, Cu Kα. Input: a cell relaxed with PBE.
Intensities are scaled so that the largest is 100.

Cell: 10.5702 10.5702 10.5702 Å, 151.86 151.86 40.22°
Element x y z (fractional)
Ba 0.0000 0.0000 0.0000
U 0.3673 0.3673 0.0000
U 0.6327 0.6327 0.0000
Ru 0.7500 0.2500 0.5000
S 0.1102 0.6102 0.5000
S 0.2433 0.2433 0.0000
S 0.3898 0.8898 0.5000
S 0.5000 0.5000 0.0000
S 0.6287 0.1287 0.5000
S 0.7567 0.7567 0.0000
S 0.8713 0.3713 0.5000

Largest 10 diffraction maxima, sorted by position, 10 to 90 degrees two-theta:
2theta, d (Å), I_rel
17.84, 4.973, 50
21.90, 4.059, 100
24.50, 3.634, 35
28.41, 3.142, 31
34.92, 2.570, 61
36.19, 2.482, 39
41.60, 2.171, 39
50.21, 1.817, 21
51.17, 1.785, 47
63.45, 1.466, 22



# Ba2SnSb3Au4
Theoretical X-ray diffraction stick pattern, Cu Kα. Input: a cell relaxed with PBE.
Intensities are scaled so that the largest is 100.

Cell: 4.9164 4.9164 11.3212 Å, 90.00 90.00 90.00°
Element x y z (fractional)
Ba 0.0000 0.5000 0.2382
Ba 0.5000 0.0000 0.7618
Sn 0.0000 0.0000 0.5000
Sb 0.0000 0.5000 0.8734
Sb 0.5000 0.0000 0.1267
Sb 0.5000 0.5000 0.5000
Au 0.0000 0.0000 0.0000
Au 0.0000 0.5000 0.6306
Au 0.5000 0.0000 0.3694
Au 0.5000 0.5000 0.0000

Largest 10 diffraction maxima, sorted by position, 10 to 90 degrees two-theta:
2theta, d (Å), I_rel
29.85, 2.994, 53
30.17, 2.962, 100
36.56, 2.458, 83
41.13, 2.195, 53
44.02, 2.057, 25
47.88, 1.900, 29
52.66, 1.738, 30
58.51, 1.577, 21
61.89, 1.499, 26
68.91, 1.363, 23



# Na2Nb3O6
Theoretical X-ray diffraction stick pattern, Cu Kα. Input: a cell relaxed with PBE.
Intensities are scaled so that the largest is 100.

Cell: 5.1734 5.1734 23.6762 Å, 90.00 90.00 120.00°
Element x y z (fractional)
Na 0.0000 0.0000 0.2500
Na 0.0000 0.0000 0.7500
Na 0.3333 0.6667 0.0001
Na 0.3333 0.6667 0.2500
Na 0.3333 0.6667 0.4999
Na 0.6667 0.3333 0.9999
Na 0.6667 0.3333 0.5001
Na 0.6667 0.3333 0.7500
Nb 0.0038 0.3334 0.6250
Nb 0.0038 0.6705 0.8750
Nb 0.3295 0.3334 0.8750
Nb 0.3295 0.9962 0.6250
Nb 0.3334 0.0038 0.1250
Nb 0.3334 0.3295 0.3750
Nb 0.6666 0.6705 0.6250
Nb 0.6666 0.9962 0.8750
Nb 0.6705 0.0038 0.3750
Nb 0.6705 0.6666 0.1250
Nb 0.9962 0.3295 0.1250
Nb 0.9962 0.6666 0.3750
O 0.0016 0.3388 0.4284
O 0.0016 0.6628 0.0716
O 0.0054 0.3349 0.3216
O 0.0054 0.6705 0.1784
O 0.3295 0.3349 0.1784
O 0.3295 0.9946 0.3216
O 0.3349 0.0054 0.8216
O 0.3349 0.3295 0.6784
O 0.3372 0.3388 0.0716
O 0.3372 0.9984 0.4284
O 0.3388 0.0016 0.9284
O 0.3388 0.3372 0.5716
O 0.6612 0.6628 0.4284
O 0.6612 0.9984 0.0716
O 0.6628 0.0016 0.5716
O 0.6628 0.6612 0.9284
O 0.6651 0.6705 0.3216
O 0.6651 0.9946 0.1784
O 0.6705 0.0054 0.6784
O 0.6705 0.6651 0.8216
O 0.9946 0.3295 0.8216
O 0.9946 0.6651 0.6784
O 0.9984 0.3372 0.9284
O 0.9984 0.6612 0.5716

Largest 10 diffraction maxima, sorted by position, 10 to 90 degrees two-theta:
2theta, d (Å), I_rel
14.97, 5.919, 100
30.20, 2.960, 16
34.68, 2.587, 11
35.52, 2.527, 33
37.96, 2.370, 34
41.75, 2.163, 51
52.39, 1.746, 33
62.16, 1.493, 16
64.33, 1.448, 11
66.00, 1.415, 10



# CsKH6Au2
Theoretical X-ray diffraction stick pattern, Cu Kα. Input: a cell relaxed with PBE.
Intensities are scaled so that the largest is 100.

Cell: 7.4159 7.4159 6.5679 Å, 94.37 94.37 90.12°
Element x y z (fractional)
Cs 0.1106 0.8894 0.7500
Cs 0.8894 0.1106 0.2500
K 0.4140 0.5860 0.2500
K 0.5860 0.4140 0.7500
H 0.0802 0.7302 0.1914
H 0.1961 0.2978 0.6566
H 0.2660 0.5532 0.8869
H 0.2698 0.9198 0.3086
H 0.2978 0.1961 0.1566
H 0.4468 0.7340 0.6131
H 0.5532 0.2660 0.3869
H 0.7022 0.8039 0.8434
H 0.7302 0.0802 0.6914
H 0.7340 0.4468 0.1131
H 0.8039 0.7022 0.3434
H 0.9198 0.2698 0.8086
Au 0.0933 0.4086 0.8486
Au 0.4086 0.0933 0.3486
Au 0.5914 0.9067 0.6514
Au 0.9067 0.5914 0.1514

Largest 10 diffraction maxima, sorted by position, 10 to 90 degrees two-theta:
2theta, d (Å), I_rel
17.03, 5.208, 31
18.81, 4.718, 69
24.07, 3.697, 23
26.79, 3.328, 100
28.64, 3.116, 80
29.05, 3.074, 49
34.16, 2.625, 21
34.44, 2.604, 38
38.00, 2.368, 37
44.29, 2.045, 35



# Rb4MgSe4O14
Theoretical X-ray diffraction stick pattern, Cu Kα. Input: a cell relaxed with PBE.
Intensities are scaled so that the largest is 100.

Cell: 7.9718 8.1992 8.4300 Å, 84.87 62.47 88.94°
Element x y z (fractional)
Rb 0.0000 0.0000 0.0000
Rb 0.0651 0.2769 0.4878
Rb 0.4096 0.4606 0.8994
Rb 0.5225 0.8271 0.4322
Mg 0.8682 0.7808 0.6241
Se 0.1487 0.7568 0.2795
Se 0.5923 0.9627 0.8796
Se 0.6471 0.3274 0.3305
Se 0.9165 0.4995 0.9153
O 0.0155 0.6534 0.9551
O 0.0493 0.3371 0.8594
O 0.1548 0.7895 0.4796
O 0.1934 0.5568 0.2528
O 0.4522 0.1124 0.8747
O 0.4684 0.2070 0.3653
O 0.5662 0.8017 0.7770
O 0.5696 0.9074 0.0822
O 0.5949 0.4703 0.4693
O 0.6904 0.4411 0.1070
O 0.8289 0.0032 0.7412
O 0.8356 0.5512 0.7669
O 0.8440 0.2298 0.2884
O 0.9016 0.7783 0.3723

Largest 10 diffraction maxima, sorted by position, 10 to 90 degrees two-theta:
2theta, d (Å), I_rel
21.77, 4.082, 16
22.31, 3.985, 19
23.00, 3.867, 22
23.90, 3.724, 100
24.30, 3.662, 20
24.67, 3.609, 33
25.21, 3.533, 21
25.50, 3.494, 30
25.83, 3.449, 48
34.00, 2.637, 22